(1)
MgSn2: simulated X-ray diffraction stick pattern (Cu Kα (weighted mean of Kα1 and Kα2)), based on a PBE-relaxed structure.
Intensities are scaled so that the largest is 100.

Largest 6 diffraction maxima, low angle first, 2θ from 10° to 80°:
d = 2.838 Å, 2θ 31.52, intensity 30; d = 2.750 Å, 2θ 32.56, intensity 27; d = 2.522 Å, 2θ 35.59, intensity 100; d = 1.975 Å, 2θ 45.95, intensity 23; d = 1.540 Å, 2θ 60.08, intensity 23; d = 1.408 Å, 2θ 66.41, intensity 22

Cell and atoms:
```
MgSn2
1.0
2.8385 1.6388 5.4997
-2.8385 1.6388 5.4997
0.0000 -3.2776 5.4997
Mg Sn
2 4
Direct
0.1689 0.1689 0.1689
0.8311 0.8311 0.8311
0.0000 0.6708 0.3292
0.3292 0.0000 0.6708
0.5000 0.5000 0.5000
0.6708 0.3292 0.0000
```

(2)
TcRuW2: simulated X-ray diffraction stick pattern (Cu Kα (weighted mean of Kα1 and Kα2)), based on a PBE-relaxed structure.
Intensities are scaled so that the largest is 100.

Largest 6 diffraction maxima, low angle first, 2θ from 10° to 80°:
d = 3.889 Å, 2θ 22.87, intensity 8; d = 2.273 Å, 2θ 39.66, intensity 100; d = 1.980 Å, 2θ 45.82, intensity 33; d = 1.944 Å, 2θ 46.72, intensity 16; d = 1.400 Å, 2θ 66.81, intensity 11; d = 1.387 Å, 2θ 67.51, intensity 21

Cell and atoms:
```
TcRuW2
1.0
3.9605 0.0000 0.0000
0.0000 3.9605 0.0000
0.0000 0.0000 3.8886
Tc Ru W
1 1 2
Direct
0.0000 0.0000 0.0000
0.5000 0.5000 0.0000
0.0000 0.5000 0.5000
0.5000 0.0000 0.5000
```

(3)
DySc2Ir: simulated X-ray diffraction stick pattern (Cu Kα (weighted mean of Kα1 and Kα2)), based on a PBE-relaxed structure.
Intensities are scaled so that the largest is 100.

Largest 6 diffraction maxima, low angle first, 2θ from 10° to 80°:
d = 4.341 Å, 2θ 20.46, intensity 90; d = 4.060 Å, 2θ 21.89, intensity 56; d = 2.742 Å, 2θ 32.65, intensity 30; d = 2.645 Å, 2θ 33.89, intensity 100; d = 2.448 Å, 2θ 36.71, intensity 32; d = 2.004 Å, 2θ 45.26, intensity 31

Cell and atoms:
```
DySc2Ir
1.0
7.0763 0.0000 0.0000
0.0000 8.6813 0.0000
0.0000 0.0000 6.0389
Dy Sc Ir
4 8 4
Direct
0.0301 0.2500 0.1219
0.4699 0.7500 0.6219
0.5301 0.2500 0.3781
0.9699 0.7500 0.8781
0.1742 0.0612 0.6622
0.1742 0.4388 0.6622
0.3258 0.5612 0.1622
0.3258 0.9388 0.1622
0.6742 0.0612 0.8378
0.6742 0.4388 0.8378
0.8258 0.5612 0.3378
0.8258 0.9388 0.3378
0.1172 0.7500 0.4311
0.3828 0.2500 0.9311
0.6172 0.7500 0.0689
0.8828 0.2500 0.5689
```